Starting from DFT lattice parameters and positions (GGA-PBE), the X-ray diffraction stick pattern of Mg2NbNi3Sb3 was calculated for Cu Kα (weighted mean of Kα1 and Kα2).
Peak positions follow from Bragg's law for the DFT cell and can differ from measured ones.

Largest 6 diffraction maxima, in order of rising 2θ, 15° ≤ 2θ ≤ 90°:
two_theta  I/Imax  (hkl)
25.56  52  1 3 -1
29.61  41  1 3 1
42.34  100  2 0 2
42.42  50  1 3 -3
50.14  28  3 3 1
61.47  24  4 0 -4

Crystal structure
a = 7.4004 Å, b = 12.7983 Å, c = 7.3781 Å
α = 90.00°, β = 109.44°, γ = 90.00°
Space group Cc (No. 9)
Asymmetric unit:
Mg1 0.0000 0.0834 0.0000
Mg2 0.4940 0.2499 0.9997
Nb1 0.4938 0.0831 0.4962
Ni1 0.1126 0.4229 0.3646
Ni2 0.1158 0.2575 0.8777
Ni3 0.1344 0.0836 0.3779
Sb1 0.2428 0.0867 0.7512
Sb2 0.2446 0.2523 0.2498
Sb3 0.2521 0.4165 0.7459

=====

Starting from DFT lattice parameters and positions (GGA-PBE), the X-ray diffraction stick pattern of NdSi2Ir2 was calculated for Cu Kα (weighted mean of Kα1 and Kα2).
Peak positions follow from Bragg's law for the DFT cell and can differ from measured ones.

Largest 6 diffraction maxima, in order of rising 2θ, 15° ≤ 2θ ≤ 90°:
two_theta  I/Imax  (hkl)
22.76  16  1 0 1
29.76  78  1 1 0
34.26  100  1 0 3
42.59  46  2 0 0
50.56  20  1 0 5
55.75  50  2 1 3

Crystal structure
a = 4.2459 Å, b = 4.2459 Å, c = 9.9728 Å
α = 90.00°, β = 90.00°, γ = 90.00°
Space group I4mm (No. 107)
Asymmetric unit:
Nd1 0.0000 0.0000 0.0000
Si1 0.0000 0.5000 0.2495
Ir1 0.0000 0.0000 0.3668
Ir2 0.0000 0.0000 0.6319

=====

Starting from DFT lattice parameters and positions (GGA-PBE), the X-ray diffraction stick pattern of TmZrHgC was calculated for Cu Kα (weighted mean of Kα1 and Kα2).
Peak positions follow from Bragg's law for the DFT cell and can differ from measured ones.

Largest 6 diffraction maxima, in order of rising 2θ, 15° ≤ 2θ ≤ 90°:
two_theta  I/Imax  (hkl)
30.04  24  1 0 0
34.95  100  1 0 3
35.33  20  0 0 6
53.34  21  1 1 0
63.17  18  1 0 9
65.62  21  1 1 6

Crystal structure
a = 3.4349 Å, b = 3.4349 Å, c = 15.2431 Å
α = 90.00°, β = 90.00°, γ = 120.00°
Space group P-6m2 (No. 187)
Asymmetric unit:
Tm1 0.0000 0.0000 0.1662
Zr1 0.6667 0.3333 0.3375
Hg1 0.0000 0.0000 0.5000
Hg2 0.6667 0.3333 0.0000
C1 0.3333 0.6667 0.2615

=====

Starting from DFT lattice parameters and positions (GGA-PBE), the X-ray diffraction stick pattern of DyCl2 was calculated for Cu Kα (weighted mean of Kα1 and Kα2).
Peak positions follow from Bragg's law for the DFT cell and can differ from measured ones.

Largest 6 diffraction maxima, in order of rising 2θ, 15° ≤ 2θ ≤ 90°:
two_theta  I/Imax  (hkl)
28.56  90  1 1 1
31.04  52  2 0 2
35.33  100  1 1 3
40.27  37  2 0 4
46.31  41  1 1 5
49.12  45  3 1 1

Crystal structure
a = 6.5177 Å, b = 3.7206 Å, c = 12.3309 Å
α = 90.00°, β = 90.00°, γ = 90.00°
Space group Pnma (No. 62)
Asymmetric unit:
Dy1 0.2388 0.2500 0.9997
Cl1 0.0791 0.2500 0.3708
Cl2 0.0860 0.7500 0.1364

=====

Starting from DFT lattice parameters and positions (GGA-PBE), the X-ray diffraction stick pattern of Er6GaCo2 was calculated for Cu Kα (weighted mean of Kα1 and Kα2).
Peak positions follow from Bragg's law for the DFT cell and can differ from measured ones.

Largest 6 diffraction maxima, in order of rising 2θ, 15° ≤ 2θ ≤ 90°:
two_theta  I/Imax  (hkl)
32.87  100  2 2 2
35.11  38  2 1 3
35.46  42  1 3 2
35.92  39  2 3 1
60.38  25  2 0 6
61.50  24  5 3 2

Crystal structure
a = 9.1963 Å, b = 9.3811 Å, c = 9.7637 Å
α = 90.00°, β = 90.00°, γ = 90.00°
Space group Immm (No. 71)
Asymmetric unit:
Er1 0.0000 0.2014 0.2339
Er2 0.1949 0.5000 0.1800
Er3 0.2170 0.3160 0.5000
Ga1 0.0000 0.0000 0.0000
Ga2 0.0000 0.0000 0.5000
Co1 0.0000 0.3660 0.0000
Co2 0.0000 0.5000 0.3858

=====

Starting from DFT lattice parameters and positions (GGA-PBE), the X-ray diffraction stick pattern of Lu4AlCdC2 was calculated for Cu Kα (weighted mean of Kα1 and Kα2).
Peak positions follow from Bragg's law for the DFT cell and can differ from measured ones.

Largest 6 diffraction maxima, in order of rising 2θ, 15° ≤ 2θ ≤ 90°:
two_theta  I/Imax  (hkl)
29.61  23  1 0 0
34.14  20  0 0 6
34.28  100  1 0 3
52.55  21  1 1 0
61.22  17  1 0 9
64.21  36  1 1 6

Crystal structure
a = 3.4831 Å, b = 3.4831 Å, c = 15.7555 Å
α = 90.00°, β = 90.00°, γ = 120.00°
Space group P-6m2 (No. 187)
Asymmetric unit:
Lu1 0.0000 0.0000 0.1605
Lu2 0.3333 0.6667 0.3270
Al1 0.3333 0.6667 0.0000
Cd1 0.0000 0.0000 0.5000
C1 0.6667 0.3333 0.2469

=====

Starting from DFT lattice parameters and positions (GGA-PBE), the X-ray diffraction stick pattern of KZnPO4 was calculated for Cu Kα (weighted mean of Kα1 and Kα2).
Peak positions follow from Bragg's law for the DFT cell and can differ from measured ones.

Largest 6 diffraction maxima, in order of rising 2θ, 15° ≤ 2θ ≤ 90°:
two_theta  I/Imax  (hkl)
21.08  50  2 0 0
28.19  37  1 2 1
28.87  100  2 1 1
29.11  51  2 2 0
33.89  45  0 0 2
34.52  99  0 3 1

Crystal structure
a = 8.4284 Å, b = 8.9497 Å, c = 5.2897 Å
α = 90.00°, β = 90.00°, γ = 90.00°
Space group Pna2_1 (No. 33)
Asymmetric unit:
K1 0.0051 0.2368 0.0000
Zn1 0.1969 0.5869 0.9902
P1 0.2124 0.4267 0.4973
O1 0.0322 0.4183 0.5338
O2 0.2083 0.9396 0.2629
O3 0.2284 0.7862 0.8542
O4 0.2389 0.0664 0.8406

=====

Starting from DFT lattice parameters and positions (GGA-PBE), the X-ray diffraction stick pattern of GdAsPtO was calculated for Cu Kα (weighted mean of Kα1 and Kα2).
Peak positions follow from Bragg's law for the DFT cell and can differ from measured ones.

Largest 6 diffraction maxima, in order of rising 2θ, 15° ≤ 2θ ≤ 90°:
two_theta  I/Imax  (hkl)
31.21  86  1 0 2
32.38  100  1 1 1
38.08  75  1 1 2
43.34  72  2 0 0
54.37  36  2 1 2
56.11  50  1 1 4

Crystal structure
a = 4.1755 Å, b = 4.1755 Å, c = 7.8820 Å
α = 90.00°, β = 90.00°, γ = 90.00°
Space group P4/nmm (No. 129, origin choice 2)
Asymmetric unit:
Gd1 0.2500 0.2500 0.1300
As1 0.2500 0.2500 0.6769
Pt1 0.2500 0.7500 0.5000
O1 0.2500 0.7500 0.0000